# 1
The following is a simulated XRD peak list of CoBiO3. It was derived from DFT lattice parameters and positions (GGA+U), using copper Kα.
Neutral-atom scattering factors, no anomalous dispersion.

Crystal structure
a = 5.5002 Å, b = 5.5002 Å, c = 12.2961 Å
α = 90.00°, β = 90.00°, γ = 120.00°
Atoms (fractional coordinates):
Co 0.0000 0.0000 0.0000
Co 0.3333 0.6667 0.6667
Co 0.6667 0.3333 0.3333
Bi 0.0000 0.0000 0.7529
Bi 0.3333 0.6667 0.4196
Bi 0.6667 0.3333 0.0863
O 0.0218 0.3380 0.6661
O 0.3163 0.9782 0.6661
O 0.3286 0.0171 0.9995
O 0.3551 0.0047 0.3328
O 0.6496 0.6449 0.3328
O 0.6620 0.6837 0.6661
O 0.6884 0.6714 0.9995
O 0.9829 0.3116 0.9995
O 0.9953 0.3504 0.3328

Peak list (8 most intense, 2θ = 15–90°, sorted by position)
- 19.99 deg, d = 4.442 Å, intensity 100
- 21.68 deg, d = 4.099 Å, intensity 31
- 23.63 deg, d = 3.765 Å, intensity 27
- 32.56 deg, d = 2.750 Å, intensity 38
- 34.73 deg, d = 2.583 Å, intensity 39
- 38.50 deg, d = 2.338 Å, intensity 18
- 39.46 deg, d = 2.284 Å, intensity 34
- 51.29 deg, d = 1.781 Å, intensity 17

=====

# 2
The following is a simulated XRD peak list of CoBi6S2O16. It was derived from DFT lattice parameters and positions (GGA+U), using copper Kα.
Neutral-atom scattering factors, no anomalous dispersion.

Crystal structure
a = 8.0593 Å, b = 8.0593 Å, c = 11.1528 Å
α = 128.05°, β = 128.05°, γ = 40.13°
Atoms (fractional coordinates):
Co 0.0000 0.0000 0.0000
Bi 0.0086 0.9581 0.3101
Bi 0.0419 0.9914 0.6899
Bi 0.2902 0.3858 0.0090
Bi 0.3657 0.3175 0.3530
Bi 0.6142 0.7098 0.9910
Bi 0.6825 0.6343 0.6470
S 0.4052 0.2941 0.7090
S 0.7059 0.5948 0.2910
O 0.1108 0.5485 0.1842
O 0.1802 0.0057 0.9475
O 0.2153 0.5187 0.8086
O 0.2773 0.7227 0.5000
O 0.2953 0.1586 0.5603
O 0.4515 0.8892 0.8158
O 0.4596 0.4045 0.6788
O 0.4813 0.7847 0.1914
O 0.5955 0.5404 0.3212
O 0.6069 0.0519 0.1811
O 0.6656 0.0929 0.8002
O 0.7637 0.2363 0.5000
O 0.8414 0.7047 0.4397
O 0.9071 0.3344 0.1998
O 0.9481 0.3931 0.8189
O 0.9943 0.8198 0.0525

Peak list (8 most intense, 2θ = 15–90°, sorted by position)
- 23.47 deg, d = 3.791 Å, intensity 31
- 28.46 deg, d = 3.136 Å, intensity 100
- 29.05 deg, d = 3.073 Å, intensity 98
- 31.90 deg, d = 2.806 Å, intensity 32
- 32.38 deg, d = 2.765 Å, intensity 30
- 35.59 deg, d = 2.522 Å, intensity 28
- 46.09 deg, d = 1.969 Å, intensity 28
- 55.42 deg, d = 1.658 Å, intensity 23